The following is a computed XRD peak list of GeO2. It was derived from the PBE geometry in the Materials Project, using Cu Kα (weighted mean of Kα1 and Kα2).
Lines closer than 0.1° are merged.

Main lines, most intense first (2θ = 15–90°):
25.47 deg, intensity 100
37.31 deg, intensity 20
20.17 deg, intensity 19
41.00 deg, intensity 18
57.66 deg, intensity 16
38.72 deg, intensity 13

Cell lengths 5.084, 5.084, 5.760 Å; angles 90.00, 90.00, 120.00 degrees
Atoms (fractional coordinates):
Ge: 0.000 0.455 0.333
Ge: 0.455 0.000 0.667
Ge: 0.545 0.545 0.000
O: 0.099 0.701 0.575
O: 0.299 0.398 0.242
O: 0.398 0.299 0.758
O: 0.602 0.901 0.908
O: 0.701 0.099 0.425
O: 0.901 0.602 0.092